Starting from DFT lattice parameters and positions (PBE), the XRD peak list of Ho4CoB13 was calculated for a wavelength of 1.5418 Å.

Top 10 peaks for 10° ≤ 2θ ≤ 90°, low angle first:
| 2θ/deg | I_rel | hkl |
| --- | --- | --- |
| 24.44 | 41 | 2 0 0 |
| 25.93 | 59 | 0 0 2 |
| 27.38 | 96 | 2 1 0 |
| 35.93 | 41 | 2 0 2 |
| 38.06 | 100 | 2 1 2 |
| 47.52 | 28 | 3 1 2 |
| 51.74 | 38 | 4 1 0 |
| 53.34 | 28 | 0 0 4 |
| 58.77 | 41 | 4 1 2 |
| 77.50 | 23 | 4 1 4 |

Atomic structure:
a b c (Å): 7.285 7.285 6.872
angles (deg): 90.00 90.00 90.00
Space group P4/mnc (No. 128)
Asymmetric unit:
Ho 0.182 0.315 0.000
Co 0.000 0.000 0.500
B 0.000 0.000 0.000
B 0.039 0.830 0.246
B 0.091 0.591 0.250